This entry pairs a crystal structure of SmFe3 with its simulated powder X-ray diffraction pattern. Radiation: a wavelength of 1.5418 Å. Structure: the GGA-PBE geometry in the Materials Project.

Cell and atoms:
```
data_SmFe3
_cell_length_a 8.7036
_cell_length_b 8.7036
_cell_length_c 8.7036
_cell_angle_alpha 34.65
_cell_angle_beta 34.65
_cell_angle_gamma 34.65
_symmetry_space_group_name_H-M 'P 1'
_symmetry_Int_Tables_number 1
loop_
_symmetry_equiv_pos_as_xyz
'x,y,z'
loop_
_atom_site_label
_atom_site_fract_x
_atom_site_fract_y
_atom_site_fract_z
Sm1 0.0000 0.0000 0.0000
Sm2 0.1421 0.1421 0.1421
Sm3 0.8579 0.8579 0.8579
Fe1 0.0837 0.5786 0.5786
Fe2 0.3327 0.3327 0.3327
Fe3 0.4214 0.4214 0.9163
Fe4 0.4214 0.9163 0.4214
Fe5 0.5000 0.5000 0.5000
Fe6 0.5786 0.0837 0.5786
Fe7 0.5786 0.5786 0.0837
Fe8 0.6673 0.6673 0.6673
Fe9 0.9163 0.4214 0.4214
```

Most intense lines, 2θ from 10° to 80°, by angle:
2θ/deg	d (Å)	I/Imax
32.4	2.761	50
34.6	2.592	54
35.5	2.531	34
40.4	2.235	39
41.2	2.189	100
44.4	2.042	23



This entry pairs a crystal structure of Nb2Cr with its simulated powder X-ray diffraction pattern. Radiation: a wavelength of 1.5418 Å. Structure: the GGA-PBE geometry in the Materials Project.

Cell and atoms:
```
data_Nb2Cr
_cell_length_a 5.3985
_cell_length_b 5.3985
_cell_length_c 5.3985
_cell_angle_alpha 60.00
_cell_angle_beta 60.00
_cell_angle_gamma 60.00
_symmetry_space_group_name_H-M 'P 1'
_symmetry_Int_Tables_number 1
loop_
_symmetry_equiv_pos_as_xyz
'x,y,z'
loop_
_atom_site_label
_atom_site_fract_x
_atom_site_fract_y
_atom_site_fract_z
Nb1 0.0000 0.0000 0.0000
Nb2 0.0000 0.0000 0.5000
Nb3 0.0000 0.5000 0.0000
Nb4 0.5000 0.0000 0.0000
Cr1 0.3750 0.3750 0.3750
Cr2 0.6250 0.6250 0.6250
```

Most intense lines, 2θ from 10° to 80°, by angle:
2θ/deg	d (Å)	I/Imax
20.1	4.408	35
39.1	2.302	100
40.9	2.204	60
47.6	1.909	15
63.3	1.469	30
69.7	1.350	28



This entry pairs a crystal structure of Ge3N4 with its simulated powder X-ray diffraction pattern. Radiation: a wavelength of 1.5418 Å. Structure: the GGA-PBE geometry in the Materials Project.

Cell and atoms:
```
data_Ge3N4
_cell_length_a 5.8772
_cell_length_b 5.8772
_cell_length_c 5.8772
_cell_angle_alpha 60.00
_cell_angle_beta 60.00
_cell_angle_gamma 60.00
_symmetry_space_group_name_H-M 'P 1'
_symmetry_Int_Tables_number 1
loop_
_symmetry_equiv_pos_as_xyz
'x,y,z'
loop_
_atom_site_label
_atom_site_fract_x
_atom_site_fract_y
_atom_site_fract_z
Ge1 0.0000 0.0000 0.0000
Ge2 0.0000 0.0000 0.5000
Ge3 0.0000 0.5000 0.0000
Ge4 0.3750 0.3750 0.3750
Ge5 0.5000 0.0000 0.0000
Ge6 0.6250 0.6250 0.6250
N1 0.2255 0.7582 0.7582
N2 0.2418 0.2418 0.2418
N3 0.2418 0.2418 0.7745
N4 0.2418 0.7745 0.2418
N5 0.7582 0.2255 0.7582
N6 0.7582 0.7582 0.2255
N7 0.7582 0.7582 0.7582
N8 0.7745 0.2418 0.2418
```

Most intense lines, 2θ from 10° to 80°, by angle:
2θ/deg	d (Å)	I/Imax
30.4	2.939	28
35.8	2.506	100
37.5	2.399	18
43.6	2.078	14
57.6	1.600	35
63.3	1.469	40



This entry pairs a crystal structure of ZrCuSi with its simulated powder X-ray diffraction pattern. Radiation: a wavelength of 1.5418 Å. Structure: the GGA-PBE geometry in the Materials Project.

Cell and atoms:
```
data_ZrCuSi
_cell_length_a 6.5426
_cell_length_b 3.9425
_cell_length_c 7.3161
_cell_angle_alpha 90.00
_cell_angle_beta 90.00
_cell_angle_gamma 90.00
_symmetry_space_group_name_H-M 'P 1'
_symmetry_Int_Tables_number 1
loop_
_symmetry_equiv_pos_as_xyz
'x,y,z'
loop_
_atom_site_label
_atom_site_fract_x
_atom_site_fract_y
_atom_site_fract_z
Zr1 0.0097 0.2500 0.1933
Zr2 0.4903 0.7500 0.6933
Zr3 0.5097 0.2500 0.3067
Zr4 0.9903 0.7500 0.8067
Cu1 0.1699 0.2500 0.5762
Cu2 0.3301 0.7500 0.0762
Cu3 0.6699 0.2500 0.9238
Cu4 0.8301 0.7500 0.4238
Si1 0.2203 0.7500 0.3989
Si2 0.2797 0.2500 0.8989
Si3 0.7203 0.7500 0.1011
Si4 0.7797 0.2500 0.6011
```

Most intense lines, 2θ from 10° to 80°, by angle:
2θ/deg	d (Å)	I/Imax
36.2	2.481	69
36.9	2.438	37
37.8	2.381	100
43.6	2.074	48
46.0	1.971	36
71.4	1.320	27